The following is a theoretical powder diffraction line list of Al3Zn2Ag4. It was derived from a cell relaxed with PBE, using a wavelength of 1.5418 Å.
Peak positions follow from Bragg's law for the DFT cell and can differ from measured ones.

Cell and atoms:
```
data_Al3Zn2Ag4
_cell_length_a 9.0250
_cell_length_b 3.0068
_cell_length_c 11.4148
_cell_angle_alpha 90.00
_cell_angle_beta 101.82
_cell_angle_gamma 90.00
_symmetry_space_group_name_H-M 'C 1 2/m 1'
_symmetry_Int_Tables_number 12
loop_
_symmetry_equiv_pos_as_xyz
'x,y,z'
'-x,-y,-z'
'-x,y,-z'
'x,-y,z'
'x+1/2,y+1/2,z'
'-x+1/2,-y+1/2,-z'
'-x+1/2,y+1/2,-z'
'x+1/2,-y+1/2,z'
loop_
_atom_site_label
_atom_site_fract_x
_atom_site_fract_y
_atom_site_fract_z
_atom_site_occupancy
Al1 0.0000 0.0000 0.0000 1
Al2 0.1267 0.5000 0.6546 1
Zn1 0.1135 0.5000 0.2205 1
Ag1 0.1206 0.0000 0.4363 1
Ag2 0.1905 0.5000 0.8910 1
```

Largest 12 diffraction maxima, low angle first, 2θ from 5° to 70°:
(2 0 -2), d 3.872, rel. 49; (2 0 1), d 3.847, rel. 35; (1 1 1), d 2.716, rel. 79; (1 1 -2), d 2.607, rel. 48; (1 1 -3), d 2.337, rel. 100; (4 0 -1), d 2.256, rel. 45; (4 0 0), d 2.208, rel. 29; (1 1 3), d 2.193, rel. 64; (2 0 -5), d 2.182, rel. 72; (2 0 4), d 2.169, rel. 75; (3 1 -2), d 2.071, rel. 61; (3 1 1), d 2.015, rel. 49

---

The following is a theoretical powder diffraction line list of AlZn3Ag4. It was derived from a cell relaxed with PBE, using a wavelength of 1.5418 Å.
Peak positions follow from Bragg's law for the DFT cell and can differ from measured ones.

Cell and atoms:
```
data_AlZn3Ag4
_cell_length_a 3.0683
_cell_length_b 3.0683
_cell_length_c 13.8139
_cell_angle_alpha 90.00
_cell_angle_beta 90.00
_cell_angle_gamma 90.00
_symmetry_space_group_name_H-M 'P 4/m m m'
_symmetry_Int_Tables_number 123
_symmetry_space_group_name_Hall '-P 4 2'
loop_
_atom_site_label
_atom_site_fract_x
_atom_site_fract_y
_atom_site_fract_z
_atom_site_occupancy
Al1 0.0000 0.0000 0.0000 1
Zn1 0.0000 0.0000 0.2535 1
Zn2 0.0000 0.0000 0.5000 1
Ag1 0.5000 0.5000 0.1264 1
Ag2 0.5000 0.5000 0.3762 1
```

Largest 12 diffraction maxima, low angle first, 2θ from 5° to 70°:
(0 0 1), d 13.814, rel. 8; (0 0 4), d 3.453, rel. 7; (1 0 0), d 3.068, rel. 10; (1 0 4), d 2.294, rel. 100; (1 1 0), d 2.170, rel. 42; (1 1 4), d 1.837, rel. 4; (0 0 8), d 1.727, rel. 10; (2 0 0), d 1.534, rel. 13; (1 0 8), d 1.505, rel. 2; (2 0 4), d 1.402, rel. 2; (2 1 0), d 1.372, rel. 2; (1 1 8), d 1.351, rel. 17

---

The following is a theoretical powder diffraction line list of Al2ZnAg6. It was derived from a cell relaxed with PBE, using a wavelength of 1.5418 Å.
Peak positions follow from Bragg's law for the DFT cell and can differ from measured ones.

Cell and atoms:
```
data_Al2ZnAg6
_cell_length_a 13.2158
_cell_length_b 9.5711
_cell_length_c 4.8731
_cell_angle_alpha 90.00
_cell_angle_beta 96.64
_cell_angle_gamma 90.00
_symmetry_space_group_name_H-M 'C 1 2/c 1'
_symmetry_Int_Tables_number 15
loop_
_symmetry_equiv_pos_as_xyz
'x,y,z'
'-x,-y,-z'
'-x,y,-z+1/2'
'x,-y,z+1/2'
'x+1/2,y+1/2,z'
'-x+1/2,-y+1/2,-z'
'-x+1/2,y+1/2,-z+1/2'
'x+1/2,-y+1/2,z+1/2'
loop_
_atom_site_label
_atom_site_fract_x
_atom_site_fract_y
_atom_site_fract_z
_atom_site_occupancy
Al1 0.1663 0.1261 0.0830 1
Zn1 0.0000 0.3783 0.2500 1
Ag1 0.0569 0.1253 0.5192 1
Ag2 0.1097 0.3734 0.8165 1
Ag3 0.2252 0.3766 0.3551 1
```

Largest 12 diffraction maxima, low angle first, 2θ from 5° to 70°:
(3 1 0), d 3.981, rel. 25; (2 2 -1), d 3.127, rel. 25; (0 4 0), d 2.393, rel. 58; (1 1 -2), d 2.356, rel. 55; (5 1 -1), d 2.354, rel. 55; (4 2 1), d 2.272, rel. 100; (2 0 2), d 2.189, rel. 9; (5 3 -1), d 1.933, rel. 60; (1 5 -2), d 1.504, rel. 25; (3 1 3), d 1.443, rel. 11; (9 1 0), d 1.442, rel. 11; (4 6 1), d 1.357, rel. 18

---

The following is a theoretical powder diffraction line list of AlZnAg2. It was derived from a cell relaxed with PBE, using a wavelength of 1.5418 Å.
Peak positions follow from Bragg's law for the DFT cell and can differ from measured ones.

Cell and atoms:
```
data_AlZnAg2
_cell_length_a 3.9877
_cell_length_b 3.9877
_cell_length_c 8.2670
_cell_angle_alpha 90.00
_cell_angle_beta 90.00
_cell_angle_gamma 90.00
_symmetry_space_group_name_H-M 'I -4 m 2'
_symmetry_Int_Tables_number 119
_symmetry_space_group_name_Hall 'I -4 -2'
loop_
_atom_site_label
_atom_site_fract_x
_atom_site_fract_y
_atom_site_fract_z
_atom_site_occupancy
Al1 0.0000 0.0000 0.0000 1
Zn1 0.0000 0.5000 0.7500 1
Ag1 0.0000 0.0000 0.5000 1
Ag2 0.0000 0.5000 0.2500 1
```

Largest 12 diffraction maxima, low angle first, 2θ from 5° to 70°:
(0 0 2), d 4.133, rel. 2; (1 0 1), d 3.592, rel. 28; (1 1 0), d 2.820, rel. 2; (1 1 2), d 2.329, rel. 100; (1 0 3), d 2.267, rel. 8; (0 0 4), d 2.067, rel. 17; (2 0 0), d 1.994, rel. 31; (2 1 1), d 1.743, rel. 7; (1 0 5), d 1.527, rel. 2; (2 1 3), d 1.497, rel. 4; (2 0 4), d 1.435, rel. 20; (2 2 0), d 1.410, rel. 9

---

The following is a theoretical powder diffraction line list of Al4ZnAg2. It was derived from a cell relaxed with PBE, using a wavelength of 1.5418 Å.
Peak positions follow from Bragg's law for the DFT cell and can differ from measured ones.

Cell and atoms:
```
data_Al4ZnAg2
_cell_length_a 4.1917
_cell_length_b 4.1917
_cell_length_c 31.1228
_cell_angle_alpha 90.00
_cell_angle_beta 90.00
_cell_angle_gamma 120.00
_symmetry_space_group_name_H-M 'R -3 m'
_symmetry_Int_Tables_number 166
_symmetry_space_group_name_Hall '-R 3 2"'
loop_
_atom_site_label
_atom_site_fract_x
_atom_site_fract_y
_atom_site_fract_z
_atom_site_occupancy
Al1 0.0000 0.0000 0.1408 1
Al2 0.0000 0.0000 0.3090 1
Zn1 0.0000 0.0000 0.0000 1
Ag1 0.0000 0.0000 0.2266 1
```

Largest 12 diffraction maxima, low angle first, 2θ from 5° to 70°:
(1 0 1), d 3.606, rel. 39; (0 1 2), d 3.535, rel. 100; (0 0 9), d 3.458, rel. 71; (1 0 4), d 3.290, rel. 98; (0 1 5), d 3.136, rel. 45; (0 1 8), d 2.654, rel. 25; (0 1 11), d 2.232, rel. 45; (1 1 0), d 2.096, rel. 98; (1 0 13), d 1.999, rel. 68; (0 1 14), d 1.896, rel. 18; (1 1 9), d 1.792, rel. 62; (0 2 13), d 1.446, rel. 23

---

The following is a theoretical powder diffraction line list of Al2Zn5Ag6. It was derived from a cell relaxed with PBE, using a wavelength of 1.5418 Å.
Peak positions follow from Bragg's law for the DFT cell and can differ from measured ones.

Cell and atoms:
```
data_Al2Zn5Ag6
_cell_length_a 8.8099
_cell_length_b 16.5759
_cell_length_c 2.9920
_cell_angle_alpha 90.00
_cell_angle_beta 90.00
_cell_angle_gamma 90.00
_symmetry_space_group_name_H-M 'P b a m'
_symmetry_Int_Tables_number 55
loop_
_symmetry_equiv_pos_as_xyz
'x,y,z'
'-x,-y,-z'
'-x,-y,z'
'x,y,-z'
'x+1/2,-y+1/2,-z'
'-x+1/2,y+1/2,z'
'-x+1/2,y+1/2,-z'
'x+1/2,-y+1/2,z'
loop_
_atom_site_label
_atom_site_fract_x
_atom_site_fract_y
_atom_site_fract_z
_atom_site_occupancy
Al1 0.1557 0.2256 0.0000 1
Zn1 0.0000 0.5000 0.5000 1
Zn2 0.0920 0.7623 0.5000 1
Zn3 0.1930 0.0224 0.5000 1
Ag1 0.0389 0.9064 0.0000 1
Ag2 0.1197 0.6210 0.0000 1
Ag3 0.1709 0.3670 0.5000 1
```

Largest 12 diffraction maxima, low angle first, 2θ from 5° to 70°:
(1 2 1), d 2.681, rel. 39; (3 3 0), d 2.593, rel. 45; (0 4 1), d 2.426, rel. 35; (2 6 0), d 2.340, rel. 21; (1 7 0), d 2.287, rel. 29; (2 3 1), d 2.259, rel. 100; (3 5 0), d 2.199, rel. 51; (4 1 0), d 2.183, rel. 24; (2 4 1), d 2.126, rel. 33; (0 8 0), d 2.072, rel. 26; (2 5 1), d 1.983, rel. 26; (1 6 1), d 1.978, rel. 23